Starting from a crystal structure in Alexandria, relaxed with GGA+U, the powder XRD pattern of SrLaFeCoO6 was simulated for Cu Kα X-rays.
Neutral-atom scattering factors, no anomalous dispersion.

The 10 most intense peaks (2θ from 10° to 90°), by angle:
d (Å)  Rel. int.  hkl
2.745  51  2 0 0
2.729  100  1 1 2
2.232  23  2 0 2
1.941  35  2 2 0
1.918  17  0 0 4
1.582  38  3 1 2
1.572  19  2 0 4
1.373  10  4 0 0
1.364  20  2 2 4
1.116  10  4 0 4

Structural model:
a b c (Å): 5.4910 5.4910 7.6710
angles (deg): 90.00 90.00 90.00
Space group I-4m2 (No. 119)
One atom of each set of equivalent atoms:
1 Sr 0.0000 0.0000 0.0000 x2
2 La 0.0000 0.0000 0.5000 x2
3 Fe 0.0000 0.5000 0.7500 x2
4 Co 0.0000 0.5000 0.2500 x2
5 O 0.0000 0.5000 0.0070 x4
6 O 0.2451 0.2549 0.2500 x8